The following is a computed powder diffraction line list of PmNdTmCu. It was derived from a crystal structure in Alexandria, relaxed with PBE, using Cu Kα (λ = 1.5418 Å).
Peak positions follow from Bragg's law for the DFT cell and can differ from measured ones.

Principal peaks in the range 2θ from 15° to 90°, most intense first:
index, 2θ (°), d [Å], I/Imax
1 0 2, 32.52, 2.754, 100
1 1 0, 35.80, 2.508, 53
2 1 2, 62.27, 1.491, 30
1 0 1, 27.13, 3.286, 27
1 1 3, 47.86, 1.901, 22
2 0 0, 51.54, 1.773, 19

```
data_PmNdTmCu
_chemical_formula_sum 'Pm1 Nd1 Tm1 Cu1'
_cell_length_a 3.547
_cell_length_b 3.547
_cell_length_c 8.738
_cell_angle_alpha 90.00
_cell_angle_beta 90.00
_cell_angle_gamma 90.00
_space_group_name_H-M_alt 'P 4 m m'
_space_group_IT_number 99
loop_
_space_group_symop_operation_xyz
'x,y,z'
'-y,x,z'
'-x,-y,z'
'y,-x,z'
'-x,y,z'
'y,x,z'
'x,-y,z'
'-y,-x,z'
loop_
_atom_site_label
_atom_site_fract_x
_atom_site_fract_y
_atom_site_fract_z
_atom_site_occupancy
Pm1 0.000 0.000 0.000 1
Nd1 0.500 0.500 0.313 1
Tm1 0.000 0.000 0.614 1
Cu1 0.500 0.500 0.787 1
```